Theoretical powder diffraction line list
Compound: PrB2Pt10
Radiation: Cu Kα, 1.54184 Å
Structure: a cell relaxed with PBE
No peak broadening, texture or thermal motion is included.

Cell and atoms:
Cell: 5.3168 10.8480 14.6914 Å, 90.00 90.00 90.00°
Space group Fmmm (No. 69)
Unique sites:
Pr 0.0000 0.0000 0.0000
B 0.2500 0.0000 0.2500
Pt 0.0000 0.1272 0.3650
Pt 0.0000 0.1294 0.1782
Pt 0.2500 0.2500 0.0000

Principal peaks in the range 5 to 70 degrees two-theta, sorted by position:
2theta, d (Å), Rel. int., hkl
33.03, 2.712, 32, 0 4 0
33.72, 2.658, 51, 2 0 0
35.28, 2.544, 64, 0 4 2
35.90, 2.501, 100, 2 0 2
36.70, 2.449, 55, 0 0 6
39.70, 2.270, 26, 2 2 2
41.39, 2.182, 76, 0 4 4
41.95, 2.153, 48, 2 0 4
43.17, 2.096, 21, 1 3 5
47.92, 1.898, 75, 2 4 0
61.84, 1.500, 32, 2 4 6
69.30, 1.356, 17, 0 8 0